Simulated XRD peak list
Compound: NaAlBr4
Radiation: Cu Kα (weighted mean of Kα1 and Kα2)
Structure: the GGA-PBE geometry in Alexandria
Kinematic intensities with the Lorentz-polarization factor, no thermal factor.

Crystal structure
```
data_NaAlBr4
_space_group_name_H-M_alt 'F d d d'
_space_group_IT_number 70
_cell_length_a 7.2912
_cell_length_b 18.3616
_cell_length_c 18.4184
_cell_angle_alpha 90.00
_cell_angle_beta 90.00
_cell_angle_gamma 90.00
loop_
_space_group_symop_operation_xyz
'x,y,z'
'-x,-y,-z'
'-x+1/4,-y+1/4,z'
'x+1/4,y+1/4,-z'
'x,-y+1/4,-z+1/4'
'-x,y+1/4,z+1/4'
'-x+1/4,y,-z+1/4'
'x+1/4,-y,z+1/4'
'x,y+1/2,z+1/2'
'-x,-y+1/2,-z+1/2'
'-x+1/4,-y+3/4,z+1/2'
'x+1/4,y+3/4,-z+1/2'
'x,-y+3/4,-z+3/4'
'-x,y+3/4,z+3/4'
'-x+1/4,y+1/2,-z+3/4'
'x+1/4,-y+1/2,z+3/4'
'x+1/2,y,z+1/2'
'-x+1/2,-y,-z+1/2'
'-x+3/4,-y+1/4,z+1/2'
'x+3/4,y+1/4,-z+1/2'
'x+1/2,-y+1/4,-z+3/4'
'-x+1/2,y+1/4,z+3/4'
'-x+3/4,y,-z+3/4'
'x+3/4,-y,z+3/4'
'x+1/2,y+1/2,z'
'-x+1/2,-y+1/2,-z'
'-x+3/4,-y+3/4,z'
'x+3/4,y+3/4,-z'
'x+1/2,-y+3/4,-z+1/4'
'-x+1/2,y+3/4,z+1/4'
'-x+3/4,y+1/2,-z+1/4'
'x+3/4,-y+1/2,z+1/4'
loop_
_atom_site_label
_atom_site_type_symbol
_atom_site_fract_x
_atom_site_fract_y
_atom_site_fract_z
Na1 Na 0.1250 0.1250 0.1250
Al1 Al 0.1250 0.1250 0.6250
Br1 Br 0.0662 0.3030 0.9467
```

Main lines, sorted by position (2θ = 5–70°):
2theta	Rel. int.	index
13.62	100	0 2 2
19.53	67	1 1 3
23.88	67	1 3 3
27.59	32	1 1 5
28.06	20	2 2 2
30.89	40	1 3 5
37.05	22	2 4 4
38.37	34	2 6 0
41.67	19	0 6 6
55.11	20	4 2 4